The following is a computed powder diffraction line list of K2ZnBr4. It was derived from a DFT-relaxed cell (PBE, the Materials Project), using CuKα.
Neutral-atom scattering factors, no anomalous dispersion.

```
K2ZnBr4
1.0
7.4187 0.0000 0.0000
0.0000 7.6631 0.0000
-2.9499 0.0000 8.8000
K Zn Br
4 2 8
direct
0.2115 0.0000 0.0474 K
0.2721 0.0007 0.5721 K
0.7279 0.5007 0.4279 K
0.7885 0.5000 0.9526 K
0.2198 0.4863 0.7958 Zn
0.7802 0.9863 0.2042 Zn
0.0052 0.7425 0.2665 Br
0.0120 0.7415 0.7400 Br
0.3968 0.4732 0.0659 Br
0.4224 0.4764 0.6352 Br
0.5776 0.9764 0.3648 Br
0.6032 0.9732 0.9341 Br
0.9880 0.2415 0.2600 Br
0.9948 0.2425 0.7335 Br
```

Peak list (10 most intense, 2θ = 10–90°, by intensity)
2theta  intensity  index
26.49  100  1 2 0
30.93  71  1 2 -2
26.95  54  2 0 -2
27.11  51  1 0 2
29.41  48  2 1 -2
29.55  44  1 1 2
47.49  43  0 4 0
38.81  39  1 0 -4
15.33  38  0 1 1
34.62  35  2 2 0